Record 1
Structure and simulated PXRD pattern of LaNb2HO7 (a crystal structure in the Materials Project, relaxed with PBE; Cu Ka).
Kinematic intensities with the Lorentz-polarization factor, no thermal factor.

Structure:
```
LaNb2HO7
1.0
3.9263 0.0000 0.0000
0.0000 3.9263 0.0000
0.0000 0.0000 10.7464
La Nb H O
1 2 1 7
Cartesian
0.0000 0.0000 0.0000
1.9632 1.9632 2.3492
1.9632 1.9632 8.3972
0.0000 0.0000 5.3732
0.0000 1.9632 1.8231
0.0000 1.9632 8.9233
1.9632 0.0000 1.8231
1.9632 0.0000 8.9233
1.9632 1.9632 0.0000
1.9632 1.9632 4.1100
1.9632 1.9632 6.6364
```

Largest 8 diffraction maxima, low angle first, 2θ from 10° to 80°:
24.13°, rel. 19
28.15°, rel. 100
32.24°, rel. 39
33.34°, rel. 22
33.87°, rel. 30
46.24°, rel. 28
47.06°, rel. 33
55.02°, rel. 31

Record 2
Structure and simulated PXRD pattern of Nd2MgS4 (a crystal structure in the Materials Project, relaxed with PBE; Cu Ka).
Kinematic intensities with the Lorentz-polarization factor, no thermal factor.

Structure:
```
Nd2MgS4
1.0
13.0553 0.0000 0.0000
0.0000 7.8147 0.0000
0.0000 0.0000 13.0126
Nd Mg S
16 8 32
Cartesian
1.4291 0.8918 0.0000
1.6557 4.8136 8.3525
1.7589 2.8872 4.0325
1.7698 6.7945 4.0194
4.7579 6.7945 10.5257
4.7687 2.8872 10.5388
4.8720 4.8136 1.8462
5.0986 0.8918 6.5063
7.9567 6.9229 0.0000
8.1833 3.0011 8.3525
8.2865 4.9275 4.0325
8.2974 1.0202 4.0194
11.2855 1.0202 10.5257
11.2964 4.9275 10.5388
11.3996 3.0011 1.8462
11.6262 6.9229 6.5063
1.4552 4.8050 0.1149
1.6421 0.9383 8.2748
4.8855 0.9383 1.7685
5.0724 4.8050 6.6212
7.9829 3.0097 0.1149
8.1698 6.8765 8.2748
11.4131 6.8765 1.7685
11.6001 3.0097 6.6212
0.1405 0.9224 2.5377
0.3311 4.9055 2.3791
0.3691 4.8267 5.7884
0.6109 0.9857 5.9323
2.7401 0.9312 10.5566
2.7468 4.8348 10.9320
3.0302 2.8520 1.2034
3.0366 6.7771 1.1663
3.4910 6.7771 7.6726
3.4974 2.8520 7.7096
3.7875 0.9312 4.0504
3.7808 4.8348 4.4257
5.9167 0.9857 12.4386
6.1586 4.8267 12.2947
6.1965 4.9055 8.8854
6.3871 0.9224 9.0440
6.6682 6.8923 2.5377
6.8588 2.9092 2.3791
6.8967 2.9881 5.7884
7.1386 6.8290 5.9323
9.2745 2.9799 10.9320
9.2678 6.8835 10.5566
9.5579 4.9627 1.2034
9.5643 1.0377 1.1663
10.0187 1.0377 7.6726
10.0251 4.9627 7.7096
10.3084 2.9799 4.4257
10.3152 6.8835 4.0504
12.4444 6.8290 12.4386
12.6862 2.9881 12.2947
12.7242 2.9092 8.8854
12.9148 6.8923 9.0440
```

Largest 8 diffraction maxima, low angle first, 2θ from 10° to 80°:
18.99°, rel. 37
24.64°, rel. 100
24.75°, rel. 34
31.53°, rel. 81
33.77°, rel. 62
42.28°, rel. 47
43.96°, rel. 33
46.72°, rel. 42

Record 3
Structure and simulated PXRD pattern of HoMn6Ga6 (a crystal structure in the Materials Project, relaxed with PBE; Cu Ka).
Kinematic intensities with the Lorentz-polarization factor, no thermal factor.

Structure:
```
HoMn6Ga6
1.0
0.0000 6.2610 6.3837
2.4141 0.0000 6.3837
2.4141 6.2610 0.0000
Ho Mn Ga
1 6 6
Cartesian
0.0000 0.0000 0.0000
1.2071 3.1305 0.0000
2.4141 2.2427 4.1495
2.4141 2.2427 8.6179
1.2071 3.1305 6.3837
2.4141 10.2792 4.1495
2.4141 10.2792 8.6179
1.2071 0.0000 3.1918
2.4141 4.6995 4.9129
2.4141 4.6995 7.8544
1.2071 6.2610 3.1918
2.4141 7.8225 4.9129
2.4141 7.8225 7.8544
```

Largest 8 diffraction maxima, low angle first, 2θ from 10° to 80°:
28.86°, rel. 32
29.13°, rel. 44
35.40°, rel. 38
40.36°, rel. 100
40.61°, rel. 65
41.22°, rel. 58
42.56°, rel. 88
47.21°, rel. 24

Record 4
Structure and simulated PXRD pattern of Li2GaPd (a crystal structure in the Materials Project, relaxed with PBE; Cu Ka).
Kinematic intensities with the Lorentz-polarization factor, no thermal factor.

Structure:
```
Li2GaPd
1.0
0.0000 3.0541 3.0541
3.0541 0.0000 3.0541
3.0541 3.0541 0.0000
Li Ga Pd
2 1 1
Cartesian
0.0000 0.0000 0.0000
1.5270 1.5270 1.5270
3.0541 3.0541 3.0541
4.5811 4.5811 4.5811
```

Largest 8 diffraction maxima, low angle first, 2θ from 10° to 80°:
25.25°, rel. 100
29.24°, rel. 4
41.83°, rel. 93
49.49°, rel. 47
60.64°, rel. 15
66.75°, rel. 19
68.73°, rel. 1
76.38°, rel. 30

Record 5
Structure and simulated PXRD pattern of Pb2IOF (a crystal structure in the Materials Project, relaxed with PBE; Cu Ka).
Kinematic intensities with the Lorentz-polarization factor, no thermal factor.

Structure:
```
Pb2IOF
1.0
3.0028 -6.8869 0.0000
3.0028 6.8869 0.0000
0.0000 0.0000 6.0286
Pb I O F
4 2 2 2
Cartesian
3.0028 5.6127 4.7076
3.0028 1.2742 4.7076
3.0028 -1.2742 1.3209
3.0028 -5.6127 1.3209
3.0028 3.4435 1.4546
3.0028 -3.4435 4.5740
1.5014 0.0000 0.0000
4.5042 0.0000 0.0000
1.5014 0.0000 3.0143
4.5042 0.0000 3.0143
```

Largest 8 diffraction maxima, low angle first, 2θ from 10° to 80°:
28.60°, rel. 100
29.64°, rel. 18
29.75°, rel. 21
42.49°, rel. 19
49.98°, rel. 23
51.95°, rel. 15
52.10°, rel. 19
59.22°, rel. 10

Record 6
Structure and simulated PXRD pattern of CaI2 (a crystal structure in the Materials Project, relaxed with PBE; Cu Ka).
Kinematic intensities with the Lorentz-polarization factor, no thermal factor.

Structure:
```
CaI2
1.0
4.5454 0.0000 0.0000
-2.2727 3.9364 0.0000
0.0000 0.0000 8.0569
Ca I
1 2
Cartesian
0.0000 0.0000 0.0000
0.0000 2.6243 1.7649
2.2727 1.3121 6.2919
```

Largest 8 diffraction maxima, low angle first, 2θ from 10° to 80°:
10.98°, rel. 22
22.07°, rel. 18
25.18°, rel. 100
31.78°, rel. 38
39.66°, rel. 28
40.67°, rel. 27
45.84°, rel. 15
47.56°, rel. 17